No. 1
Structure and theoretical powder XRD pattern of Li2PrAl (DFT lattice parameters and positions (GGA-PBE); a wavelength of 1.5418 Å).
Intensities are scaled so that the largest is 100.

Atomic structure:
Cell: 6.8993 6.8993 6.8993 Å, 90.00 90.00 90.00°
Space group Fm-3m (No. 225)
Unique sites:
Li 0.2500 0.2500 0.2500 [8 per cell]
Pr 0.0000 0.0000 0.0000 [4 per cell]
Al 0.0000 0.0000 0.5000 [4 per cell]

Largest 10 diffraction maxima, sorted by position, 2θ from 10° to 90°:
| 2theta | d (Å) | I (rel.) | index |
| --- | --- | --- | --- |
| 22.32 | 3.983 | 97.4 | 1 1 1 |
| 25.83 | 3.450 | 100.0 | 2 0 0 |
| 36.85 | 2.439 | 99.6 | 2 2 0 |
| 43.50 | 2.080 | 51.7 | 3 1 1 |
| 45.55 | 1.992 | 28.5 | 2 2 2 |
| 53.10 | 1.725 | 17.3 | 4 0 0 |
| 58.29 | 1.583 | 21.8 | 3 3 1 |
| 59.96 | 1.543 | 37.6 | 4 2 0 |
| 66.38 | 1.408 | 35.2 | 4 2 2 |
| 84.20 | 1.150 | 18.2 | 6 0 0 |


No. 2
Structure and theoretical powder XRD pattern of InAgTe2 (DFT lattice parameters and positions (GGA-PBE); a wavelength of 1.5418 Å).
Intensities are scaled so that the largest is 100.

Atomic structure:
Cell: 4.6098 4.6098 6.6293 Å, 90.00 90.00 90.00°
Space group P-4m2 (No. 115)
Unique sites:
In 0.0000 0.0000 0.0000 [1 per cell]
Ag 0.5000 0.5000 0.5000 [1 per cell]
Te 0.0000 0.5000 0.2586 [2 per cell]

Largest 10 diffraction maxima, sorted by position, 2θ from 10° to 90°:
| 2theta | d (Å) | I (rel.) | index |
| --- | --- | --- | --- |
| 23.51 | 3.785 | 100.0 | 1 0 1 |
| 38.74 | 2.324 | 53.3 | 1 1 2 |
| 39.08 | 2.305 | 26.2 | 2 0 0 |
| 45.52 | 1.993 | 16.6 | 1 0 3 |
| 46.11 | 1.969 | 32.3 | 2 1 1 |
| 56.46 | 1.630 | 8.7 | 2 2 0 |
| 61.52 | 1.507 | 13.2 | 2 1 3 |
| 69.91 | 1.346 | 8.8 | 2 0 4 |
| 70.58 | 1.334 | 17.4 | 3 1 2 |
| 75.77 | 1.255 | 7.2 | 3 2 1 |


No. 3
Structure and theoretical powder XRD pattern of SrSiH2F6 (DFT lattice parameters and positions (GGA-PBE); a wavelength of 1.5418 Å).
Intensities are scaled so that the largest is 100.

Atomic structure:
Cell: 6.0086 10.0742 10.7624 Å, 90.00 110.72 90.00°
Space group P2_1/c (No. 14)
Unique sites:
Sr 0.2232 0.2244 0.0549 [4 per cell]
Si 0.1473 0.5312 0.2467 [4 per cell]
H 0.2423 0.5908 0.6112 [4 per cell]
H 0.4339 0.6577 0.0281 [4 per cell]
F 0.0108 0.6328 0.3284 [4 per cell]
F 0.0504 0.6345 0.1105 [4 per cell]
F 0.0945 0.5626 0.8137 [4 per cell]
F 0.2532 0.0663 0.8889 [4 per cell]
F 0.2994 0.0663 0.6721 [4 per cell]
F 0.3999 0.6290 0.3088 [4 per cell]

Largest 10 diffraction maxima, sorted by position, 2θ from 10° to 90°:
| 2theta | d (Å) | I (rel.) | index |
| --- | --- | --- | --- |
| 15.77 | 5.620 | 52.3 | 1 0 0 |
| 17.49 | 5.072 | 61.7 | 1 1 -1 |
| 18.07 | 4.908 | 100.0 | 1 1 0 |
| 19.72 | 4.503 | 77.1 | 0 1 2 |
| 21.02 | 4.227 | 66.2 | 1 1 -2 |
| 25.01 | 3.560 | 89.7 | 0 2 2 |
| 26.06 | 3.419 | 60.7 | 1 2 -2 |
| 29.07 | 3.072 | 33.4 | 1 1 2 |
| 31.79 | 2.815 | 33.3 | 2 0 0 |
| 45.01 | 2.014 | 41.9 | 0 3 4 |